Entry 1:
Simulated PXRD pattern
Compound: Pm2SmHo4Tm2
Radiation: Cu Kα X-rays
Structure: a cell relaxed with GGA-PBE
Neutral-atom scattering factors, no anomalous dispersion.

Atomic structure:
```
Pm2SmHo4Tm2
1.0
5.990 0.000 0.000
2.813 5.973 0.000
2.882 0.285 8.072
Pm Sm Ho Tm
2 1 4 2
Cartesian
3.293 2.048 2.771
8.392 4.211 5.301
2.995 0.000 0.000
3.270 0.988 6.126
5.599 3.711 7.136
6.087 2.547 0.936
8.415 5.270 1.946
5.363 4.727 3.600
6.322 1.532 4.472
```

Main lines, in order of rising 2θ (10° ≤ 2θ ≤ 80°):
| d (Å) | Position (°2θ) | I_rel |
| --- | --- | --- |
| 2.993 | 29.9 | 41 |
| 2.832 | 31.6 | 59 |
| 2.806 | 31.9 | 100 |
| 2.764 | 32.4 | 95 |
| 1.639 | 56.1 | 20 |
| 1.573 | 58.7 | 20 |


Entry 2:
Simulated PXRD pattern
Compound: Sn4I3Br4
Radiation: Cu Kα X-rays
Structure: a cell relaxed with GGA-PBE
Neutral-atom scattering factors, no anomalous dispersion.

Atomic structure:
```
Sn4I3Br4
1.0
-2.069 4.996 8.718
2.069 -4.996 8.718
2.069 4.996 -8.718
Sn I Br
4 3 4
Cartesian
0.000 0.000 4.303
2.069 2.518 0.000
0.000 2.478 8.718
0.000 0.000 13.133
0.000 0.000 0.000
2.069 0.000 6.809
0.000 4.996 1.909
2.069 1.860 -2.957
2.069 1.860 2.957
0.000 3.136 5.761
0.000 3.136 11.675
```

Main lines, in order of rising 2θ (10° ≤ 2θ ≤ 80°):
| d (Å) | Position (°2θ) | I_rel |
| --- | --- | --- |
| 3.292 | 27.1 | 26 |
| 3.135 | 28.5 | 100 |
| 2.890 | 30.9 | 26 |
| 2.875 | 31.1 | 75 |
| 2.512 | 35.7 | 31 |
| 2.069 | 43.7 | 24 |


Entry 3:
Simulated PXRD pattern
Compound: PrNdAsI
Radiation: Cu Kα X-rays
Structure: a cell relaxed with GGA-PBE
Neutral-atom scattering factors, no anomalous dispersion.

Atomic structure:
```
PrNdAsI
1.0
4.267 0.000 0.000
-2.133 3.695 0.000
0.000 0.000 23.562
Pr Nd As I
3 3 3 3
Cartesian
0.000 0.000 0.000
0.000 2.463 15.708
2.133 1.232 7.854
0.000 0.000 18.872
0.000 2.463 11.017
2.133 1.232 3.163
0.000 0.000 9.488
0.000 2.463 1.633
2.133 1.232 17.342
0.000 0.000 5.477
0.000 2.463 21.185
2.133 1.232 13.331
```

Main lines, in order of rising 2θ (10° ≤ 2θ ≤ 80°):
| d (Å) | Position (°2θ) | I_rel |
| --- | --- | --- |
| 3.130 | 28.5 | 35 |
| 2.908 | 30.7 | 100 |
| 2.488 | 36.1 | 21 |
| 2.133 | 42.4 | 50 |
| 1.987 | 45.7 | 19 |
| 1.720 | 53.3 | 21 |


Entry 4:
Simulated PXRD pattern
Compound: Cd4Co3
Radiation: Cu Kα X-rays
Structure: a cell relaxed with GGA-PBE
Neutral-atom scattering factors, no anomalous dispersion.

Atomic structure:
```
Cd4Co3
1.0
2.987 0.000 0.000
0.000 2.987 0.000
0.000 0.000 26.704
Cd Co
8 6
Cartesian
0.000 0.000 3.051
0.000 0.000 7.878
0.000 0.000 18.826
0.000 0.000 23.654
1.494 1.494 5.474
1.494 1.494 10.301
1.494 1.494 16.403
1.494 1.494 21.230
0.000 0.000 0.000
0.000 0.000 12.117
0.000 0.000 14.587
1.494 1.494 1.235
1.494 1.494 13.352
1.494 1.494 25.470
```

Main lines, in order of rising 2θ (10° ≤ 2θ ≤ 80°):
| d (Å) | Position (°2θ) | I_rel |
| --- | --- | --- |
| 2.607 | 34.4 | 100 |
| 2.352 | 38.3 | 79 |
| 2.112 | 42.8 | 75 |
| 2.105 | 43.0 | 25 |
| 1.532 | 60.4 | 23 |
| 1.494 | 62.1 | 23 |